For Li2SnP2O7, a DFT-relaxed cell (PBE, the Materials Project) gives the theoretical powder XRD pattern in this record (Cu Kα).

Structure:
Cell: 5.2118 7.5759 8.6633 Å, 113.49 91.08 90.24°
Atoms (fractional coordinates):
Li 0.1915 0.1624 0.0909
Li 0.1985 0.1354 0.4982
Li 0.8015 0.8646 0.5018
Li 0.8085 0.8376 0.9091
Sn 0.2678 0.7283 0.1907
Sn 0.7322 0.2717 0.8093
P 0.2747 0.5582 0.7914
P 0.3039 0.8779 0.6964
P 0.6961 0.1221 0.3036
P 0.7253 0.4418 0.2086
O 0.0018 0.4131 0.1505
O 0.1495 0.9744 0.8548
O 0.1826 0.8929 0.5397
O 0.3077 0.6454 0.6503
O 0.3492 0.3436 0.7023
O 0.4073 0.0630 0.2817
O 0.4693 0.6651 0.9372
O 0.5307 0.3349 0.0628
O 0.5927 0.9370 0.7183
O 0.6508 0.6564 0.2977
O 0.6923 0.3546 0.3497
O 0.8174 0.1071 0.4603
O 0.8505 0.0256 0.1452
O 0.9982 0.5869 0.8495

Most intense lines, 2θ from 10° to 90°, sorted by position:
2θ = 11.14°, rel. 26, hkl 0 0 1
2θ = 13.17°, rel. 82, hkl 0 1 -1
2θ = 21.18°, rel. 80, hkl 1 -1 0
2θ = 21.45°, rel. 100, hkl 1 1 0
2θ = 22.38°, rel. 75, hkl 0 0 2
2θ = 27.27°, rel. 38, hkl 1 -1 2
2θ = 27.94°, rel. 33, hkl 1 0 -2
2θ = 29.17°, rel. 85, hkl 1 2 -1
2θ = 34.41°, rel. 43, hkl 2 0 0
2θ = 35.81°, rel. 60, hkl 0 3 -1